No. 1
For Rb3Cd7Hg4, a DFT-relaxed cell (GGA-PBE, Alexandria) gives the simulated PXRD pattern in this record (Cu Kα (λ = 1.5418 Å)).
No peak broadening, texture or thermal motion is included.

Atomic structure:
Unit cell a=18.5748 b=5.2639 c=10.4707 alpha=90.00 beta=123.85 gamma=90.00
Space group C2/m (No. 12)
Symmetry-distinct sites (fractional):
Rb: 0.0000 0.0000 0.0000 x2
Rb: 0.2101 0.5000 0.7107 x4
Cd: 0.0000 0.0000 0.5000 x2
Cd: 0.0015 0.5000 0.3259 x4
Cd: 0.1369 0.0000 0.4303 x4
Cd: 0.1603 0.5000 0.0101 x4
Hg: 0.1369 0.0000 0.8439 x4
Hg: 0.1613 0.5000 0.3072 x4

Principal peaks in the range 5 to 70 degrees two-theta, sorted by position:
(hkl), d (Å), I/Imax
2 0 2, 3.117, 41
1 1 2, 3.018, 41
5 1 -2, 3.002, 50
5 1 -1, 2.977, 40
3 1 -3, 2.909, 70
1 1 -3, 2.728, 38
0 2 0, 2.632, 100
6 0 0, 2.571, 46
1 1 3, 2.330, 40
7 1 -3, 2.315, 51



No. 2
For SmGeRh, a DFT-relaxed cell (GGA-PBE, Alexandria) gives the simulated PXRD pattern in this record (Cu Kα (λ = 1.5418 Å)).
No peak broadening, texture or thermal motion is included.

Atomic structure:
Unit cell a=7.6245 b=10.9158 c=12.2757 alpha=90.00 beta=90.00 gamma=90.00
Space group Fddd (No. 70, origin choice 2)
Symmetry-distinct sites (fractional):
Sm: 0.0000 0.0000 0.0000 x16
Ge: 0.1250 0.1250 0.4630 x16
Rh: 0.1250 0.2620 0.6250 x16

Principal peaks in the range 5 to 70 degrees two-theta, sorted by position:
(hkl), d (Å), I/Imax
1 1 3, 3.424, 30
2 2 2, 2.785, 77
0 4 0, 2.729, 25
1 3 3, 2.561, 100
3 1 1, 2.426, 54
1 1 5, 2.285, 40
2 4 2, 2.087, 27
1 5 3, 1.867, 26
2 2 6, 1.712, 18
4 4 4, 1.393, 35



No. 3
For Tl2AgBiCl6, a DFT-relaxed cell (GGA-PBE, Alexandria) gives the simulated PXRD pattern in this record (Cu Kα (λ = 1.5418 Å)).
No peak broadening, texture or thermal motion is included.

Atomic structure:
Unit cell a=7.3654 b=7.7451 c=12.8313 alpha=90.00 beta=124.47 gamma=90.00
Space group P2_1/c (No. 14)
Symmetry-distinct sites (fractional):
Tl: 0.2275 0.0711 0.2497 x4
Ag: 0.0000 0.0000 0.5000 x2
Bi: 0.5000 0.0000 0.0000 x2
Cl: 0.1530 0.1975 0.9539 x4
Cl: 0.2612 0.7043 0.9556 x4
Cl: 0.3410 0.0208 0.7490 x4

Principal peaks in the range 5 to 70 degrees two-theta, sorted by position:
(hkl), d (Å), I/Imax
0 2 0, 3.873, 40
1 1 1, 3.770, 100
1 1 -3, 3.744, 100
2 0 -2, 3.683, 50
2 2 -2, 2.669, 53
0 0 4, 2.645, 41
1 3 0, 2.374, 30
0 2 4, 2.184, 23
3 1 -1, 2.148, 30
3 1 -5, 2.133, 29